Entry 1:
PaBe4Au8: calculated powder XRD pattern (CuKα), based on a crystal structure in Alexandria, relaxed with GGA-PBE.
Peak positions follow from Bragg's law for the DFT cell and can differ from measured ones.

Structural model:
```
data_PaBe4Au8
_chemical_formula_sum 'Pa1 Be4 Au8'
_cell_length_a 6.8303
_cell_length_b 6.8303
_cell_length_c 6.8303
_cell_angle_alpha 98.55
_cell_angle_beta 98.55
_cell_angle_gamma 134.65
_space_group_name_H-M_alt 'P 1'
_space_group_IT_number 1
_space_group_name_Hall 'P 1'
loop_
_atom_site_label
_atom_site_type_symbol
_atom_site_fract_x
_atom_site_fract_y
_atom_site_fract_z
Pa1 Pa 0.0000 0.0000 0.0000
Be1 Be 0.0000 0.0000 0.5000
Be2 Be 0.0000 0.5000 0.0000
Be3 Be 0.5000 0.0000 0.0000
Be4 Be 0.5000 0.5000 0.5000
Au1 Au 0.0000 0.3272 0.3272
Au2 Au 0.0000 0.6728 0.6728
Au3 Au 0.2791 0.5000 0.7791
Au4 Au 0.3272 0.0000 0.3272
Au5 Au 0.5000 0.2791 0.7791
Au6 Au 0.5000 0.7209 0.2209
Au7 Au 0.6728 0.0000 0.6728
Au8 Au 0.7209 0.5000 0.2209
```

Principal peaks in the range 2θ = 10–90°, by angle:
2theta  d/Å  I_rel
19.92  4.456  238
28.32  3.151  584
34.05  2.633  664
34.67  2.588  542
40.30  2.238  1000
40.48  2.228  372
44.86  2.021  381
53.90  1.701  303
65.18  1.431  248
73.51  1.288  362

---

Entry 2:
CaMgBe: calculated powder XRD pattern (CuKα), based on a crystal structure in Alexandria, relaxed with GGA-PBE.
Peak positions follow from Bragg's law for the DFT cell and can differ from measured ones.

Structural model:
```
data_CaMgBe
_chemical_formula_sum 'Ca2 Mg2 Be2'
_cell_length_a 8.2631
_cell_length_b 8.2631
_cell_length_c 4.1112
_cell_angle_alpha 90.00
_cell_angle_beta 90.00
_cell_angle_gamma 149.00
_space_group_name_H-M_alt 'P 1'
_space_group_IT_number 1
_space_group_name_Hall 'P 1'
loop_
_atom_site_label
_atom_site_type_symbol
_atom_site_fract_x
_atom_site_fract_y
_atom_site_fract_z
Ca1 Ca 0.1738 0.8262 0.7500
Ca2 Ca 0.8262 0.1738 0.2500
Mg1 Mg 0.4291 0.5709 0.7500
Mg2 Mg 0.5709 0.4291 0.2500
Be1 Be 0.0000 0.0000 0.0000
Be2 Be 0.0000 0.0000 0.5000
```

Principal peaks in the range 2θ = 10–90°, by angle:
2theta  d/Å  I_rel
26.25  3.395  528
30.23  2.957  1000
31.27  2.860  811
34.73  2.583  365
40.87  2.208  242
44.05  2.056  135
50.28  1.815  159
52.01  1.758  236
52.35  1.748  342
72.45  1.305  130

---

Entry 3:
Mn3Re2: calculated powder XRD pattern (CuKα), based on a crystal structure in Alexandria, relaxed with GGA-PBE.
Peak positions follow from Bragg's law for the DFT cell and can differ from measured ones.

Structural model:
```
data_Mn3Re2
_chemical_formula_sum 'Mn6 Re4'
_cell_length_a 6.6145
_cell_length_b 4.9748
_cell_length_c 7.6035
_cell_angle_alpha 59.14
_cell_angle_beta 40.21
_cell_angle_gamma 80.65
_space_group_name_H-M_alt 'P 1'
_space_group_IT_number 1
_space_group_name_Hall 'P 1'
loop_
_atom_site_label
_atom_site_type_symbol
_atom_site_fract_x
_atom_site_fract_y
_atom_site_fract_z
Mn1 Mn 0.0000 0.0000 0.0000
Mn2 Mn 0.2500 0.2500 0.2500
Mn3 Mn 0.4245 0.5081 0.3817
Mn4 Mn 0.5081 0.4245 0.6857
Mn5 Mn 0.5643 0.8683 0.7419
Mn6 Mn 0.8683 0.5643 0.8255
Re1 Re 0.0932 0.7688 0.3006
Re2 Re 0.4126 0.9494 0.4812
Re3 Re 0.7688 0.0932 0.8374
Re4 Re 0.9494 0.4126 0.1568
```

Principal peaks in the range 2θ = 10–90°, by angle:
2theta  d/Å  I_rel
24.80  3.591  476
30.75  2.908  454
36.98  2.431  239
40.98  2.203  209
41.70  2.166  209
42.53  2.126  374
42.64  2.120  1000
43.61  2.075  274
44.25  2.047  706
52.18  1.753  332